# 1
Starting from a DFT-relaxed cell (GGA+U, the Materials Project), the X-ray diffraction stick pattern of Li6V2OF11 was computed for Cu Ka.
Peak positions follow from Bragg's law for the DFT cell and can differ from measured ones.

Structural model:
```
data_Li6V2OF11
_cell_length_a 5.114
_cell_length_b 5.504
_cell_length_c 8.732
_cell_angle_alpha 74.15
_cell_angle_beta 89.88
_cell_angle_gamma 62.43
_symmetry_space_group_name_H-M 'P 1'
_symmetry_Int_Tables_number 1
_symmetry_space_group_name_Hall 'P 1'
loop_
_atom_site_label
_atom_site_type_symbol
_atom_site_fract_x
_atom_site_fract_y
_atom_site_fract_z
Li1 Li 0.000 0.000 0.000
Li2 Li 0.072 0.846 0.358
Li3 Li 0.300 0.452 0.760
Li4 Li 0.598 0.850 0.877
Li5 Li 0.758 0.471 0.278
Li6 Li 0.850 0.310 0.634
V1 V 0.318 0.366 0.124
V2 V 0.530 0.939 0.514
O1 O 0.307 0.152 0.319
F1 F 0.275 0.161 0.986
F2 F 0.284 0.147 0.651
F3 F 0.331 0.645 0.221
F4 F 0.338 0.637 0.928
F5 F 0.358 0.684 0.558
F6 F 0.724 0.153 0.816
F7 F 0.754 0.160 0.160
F8 F 0.763 0.146 0.475
F9 F 0.820 0.667 0.711
F10 F 0.825 0.659 0.419
F11 F 0.890 0.625 0.078
```

Principal peaks in the range 10 to 90 degrees two-theta, by angle:
- 2θ = 18.81°, intensity 79
- 2θ = 19.82°, intensity 100
- 2θ = 21.09°, intensity 100
- 2θ = 40.27°, intensity 85
- 2θ = 40.47°, intensity 76
- 2θ = 53.36°, intensity 62

---

# 2
Starting from a DFT-relaxed cell (GGA+U, the Materials Project), the X-ray diffraction stick pattern of Li2CrSi4O11 was computed for Cu Ka.
Peak positions follow from Bragg's law for the DFT cell and can differ from measured ones.

Structural model:
```
data_Li2CrSi4O11
_cell_length_a 10.627
_cell_length_b 10.627
_cell_length_c 7.692
_cell_angle_alpha 90.00
_cell_angle_beta 90.00
_cell_angle_gamma 90.00
_symmetry_space_group_name_H-M 'I 4/m'
_symmetry_Int_Tables_number 87
_symmetry_space_group_name_Hall '-I 4'
loop_
_atom_site_label
_atom_site_type_symbol
_atom_site_fract_x
_atom_site_fract_y
_atom_site_fract_z
Li1 Li 0.121 0.845 0.000
Cr1 Cr 0.000 0.000 0.255
Si1 Si 0.018 0.304 0.304
O1 O 0.000 0.000 0.000
O2 O 0.000 0.000 0.500
O3 O 0.037 0.714 0.500
O4 O 0.066 0.174 0.219
O5 O 0.096 0.637 0.186
```

Principal peaks in the range 10 to 90 degrees two-theta, by angle:
- 2θ = 16.68°, intensity 99
- 2θ = 23.12°, intensity 100
- 2θ = 23.68°, intensity 29
- 2θ = 26.52°, intensity 88
- 2θ = 35.47°, intensity 36
- 2θ = 35.85°, intensity 35

---

# 3
Starting from a DFT-relaxed cell (GGA+U, the Materials Project), the X-ray diffraction stick pattern of VF5 was computed for Cu Ka.
Peak positions follow from Bragg's law for the DFT cell and can differ from measured ones.

Structural model:
```
data_VF5
_cell_length_a 8.606
_cell_length_b 6.787
_cell_length_c 6.276
_cell_angle_alpha 90.00
_cell_angle_beta 109.03
_cell_angle_gamma 90.00
_symmetry_space_group_name_H-M 'C 1 2/c 1'
_symmetry_Int_Tables_number 15
_symmetry_space_group_name_Hall '-C 2yc'
loop_
_atom_site_label
_atom_site_type_symbol
_atom_site_fract_x
_atom_site_fract_y
_atom_site_fract_z
V1 V 0.000 0.090 0.250
F1 F 0.000 0.348 0.250
F2 F 0.001 0.155 0.943
F3 F 0.215 0.053 0.347
```

Principal peaks in the range 10 to 90 degrees two-theta, by angle:
- 2θ = 17.01°, intensity 100
- 2θ = 20.19°, intensity 29
- 2θ = 21.85°, intensity 39
- 2θ = 31.43°, intensity 14
- 2θ = 44.55°, intensity 17
- 2θ = 45.54°, intensity 15

---

# 4
Starting from a DFT-relaxed cell (GGA+U, the Materials Project), the X-ray diffraction stick pattern of Ga2NiO4 was computed for Cu Ka.
Peak positions follow from Bragg's law for the DFT cell and can differ from measured ones.

Structural model:
```
data_Ga2NiO4
_cell_length_a 5.863
_cell_length_b 5.977
_cell_length_c 8.331
_cell_angle_alpha 90.00
_cell_angle_beta 90.00
_cell_angle_gamma 90.00
_symmetry_space_group_name_H-M 'I m m a'
_symmetry_Int_Tables_number 74
_symmetry_space_group_name_Hall '-I 2b 2'
loop_
_atom_site_label
_atom_site_type_symbol
_atom_site_fract_x
_atom_site_fract_y
_atom_site_fract_z
Ga1 Ga 0.000 0.000 0.000
Ga2 Ga 0.000 0.250 0.367
Ni1 Ni 0.250 0.250 0.750
O1 O 0.000 0.008 0.762
O2 O 0.235 0.250 0.999
```

Principal peaks in the range 10 to 90 degrees two-theta, by angle:
- 2θ = 30.27°, intensity 38
- 2θ = 35.39°, intensity 69
- 2θ = 35.65°, intensity 28
- 2θ = 35.78°, intensity 100
- 2θ = 57.43°, intensity 37
- 2θ = 62.96°, intensity 56